The following is a computed PXRD pattern of Mg3Si3Pd2. It was derived from the PBE geometry in Alexandria, using λ = 1.5418 Å (Cu Kα).

Structural model:
Cell lengths 6.611, 16.050, 5.155 Å; angles 90.00, 90.00, 90.00 degrees
Space group Pnma (No. 62)
Inequivalent atoms, fractional coordinates:
Mg  0.011  0.121  0.113 x8
Mg  0.179  0.250  0.634 x4
Si  0.178  0.750  0.639 x4
Si  0.184  0.023  0.599 x8
Pd  0.120  0.616  0.395 x8

Largest 10 diffraction maxima, in order of rising 2θ, 2θ = 10–90°:
| hkl | Position (°2θ) | I (rel.) |
| --- | --- | --- |
| 1 0 1 | 21.86 | 86 |
| 0 4 0 | 22.15 | 70 |
| 1 1 1 | 22.56 | 62 |
| 2 1 0 | 27.55 | 100 |
| 1 1 2 | 37.88 | 54 |
| 2 4 1 | 39.41 | 86 |
| 1 3 2 | 41.21 | 65 |
| 1 4 2 | 43.94 | 92 |
| 0 8 0 | 45.17 | 59 |
| 2 4 3 | 65.49 | 54 |